Entry 1:
For CuPbCl2, DFT lattice parameters and positions (GGA-PBE) gives the simulated XRD peak list in this record (Cu Kα (λ = 1.5418 Å)).
Intensities are scaled so that the largest is 100.

Peak list (10 most intense, 2θ from 10° to 90°, by intensity)
| (hkl) | two_theta | Rel. int. |
| --- | --- | --- |
| 0 0 1 | 10.26 | 100 |
| 0 2 0 | 28.66 | 79 |
| 1 1 2 | 33.92 | 76 |
| 1 1 3 | 41.43 | 22 |
| 1 3 2 | 54.26 | 20 |
| 0 2 1 | 30.55 | 17 |
| 0 0 3 | 31.13 | 15 |
| 1 1 6 | 71.44 | 14 |
| 1 1 0 | 26.64 | 13 |
| 1 1 5 | 60.43 | 13 |

Atomic structure:
a = 3.968 Å, b = 6.222 Å, c = 8.618 Å
α = 90.00°, β = 90.00°, γ = 90.00°
Space group Cmm2 (No. 35)
Asymmetric unit:
Cu: 0.000 0.000 0.000
Pb: 0.000 0.500 0.728
Cl: 0.000 0.000 0.497
Cl: 0.000 0.500 0.107

---

Entry 2:
For Nd2Ag3Au2, DFT lattice parameters and positions (GGA-PBE) gives the simulated XRD peak list in this record (Cu Kα (λ = 1.5418 Å)).
Intensities are scaled so that the largest is 100.

Peak list (10 most intense, 2θ from 10° to 90°, by intensity)
| (hkl) | two_theta | Rel. int. |
| --- | --- | --- |
| 1 1 1 | 32.37 | 100 |
| 1 7 0 | 36.98 | 92 |
| 1 7 2 | 62.73 | 39 |
| 1 3 1 | 34.63 | 34 |
| 2 0 0 | 43.11 | 33 |
| 1 5 1 | 38.82 | 29 |
| 0 8 1 | 42.25 | 28 |
| 0 6 1 | 35.25 | 27 |
| 0 0 2 | 48.75 | 23 |
| 2 8 1 | 61.93 | 22 |

Atomic structure:
a = 4.197 Å, b = 20.873 Å, c = 3.736 Å
α = 90.00°, β = 90.00°, γ = 90.00°
Space group Cmmm (No. 65)
Asymmetric unit:
Nd: 0.000 0.151 0.000
Ag: 0.000 0.000 0.000
Ag: 0.000 0.434 0.500
Au: 0.000 0.294 0.500